This entry pairs a crystal structure of PrMgGa2Cu with its simulated powder XRD pattern. Radiation: Cu Kα, 1.54184 Å. Structure: the PBE geometry in Alexandria.
No peak broadening, texture or thermal motion is included.

Largest 10 diffraction maxima, by angle, 15° ≤ 2θ ≤ 90°:
Position (°2θ)	d [Å]	I/Imax	hkl
29.6	3.019	39	1 1 0
32.0	2.799	83	1 0 3
33.8	2.653	100	1 1 2
42.3	2.135	57	2 0 0
46.0	1.973	49	1 0 5
54.0	1.697	37	2 1 3
61.4	1.509	18	2 2 0
64.3	1.449	35	2 1 5
72.0	1.312	21	3 1 2
82.9	1.165	13	2 0 8

Cell and atoms:
Cell lengths 4.269, 4.269, 11.123 Å; angles 90.00, 90.00, 90.00 degrees
Space group I-4m2 (No. 119)
Symmetry-distinct sites (fractional):
Pr (0.000, 0.000, 0.000) (multiplicity 2)
Mg (0.000, 0.500, 0.250) (multiplicity 2)
Ga (0.000, 0.000, 0.388) (multiplicity 4)
Cu (0.000, 0.500, 0.750) (multiplicity 2)

=====

This entry pairs a crystal structure of MgGa2CuPt4 with its simulated powder XRD pattern. Radiation: Cu Kα, 1.54184 Å. Structure: the PBE geometry in Alexandria.
No peak broadening, texture or thermal motion is included.

Largest 10 diffraction maxima, by angle, 15° ≤ 2θ ≤ 90°:
Position (°2θ)	d [Å]	I/Imax	hkl
28.8	3.103	35	1 0 4
41.1	2.194	100	1 1 0
50.9	1.794	2	0 0 12
51.0	1.790	8	0 2 4
59.6	1.551	17	2 0 8
67.5	1.387	13	2 1 4
74.9	1.268	8	1 0 16
75.0	1.266	26	3 0 0
89.2	1.098	6	0 2 16
89.4	1.096	6	2 2 0

Cell and atoms:
Cell lengths 4.3846, 4.3846, 21.5247 Å; angles 90.00, 90.00, 120.00 degrees
Space group R-3m (No. 166, hexagonal axes)
Symmetry-distinct sites (fractional):
Mg (0.0000, 0.0000, 0.0000) (multiplicity 3)
Ga (0.0000, 0.0000, 0.2494) (multiplicity 6)
Cu (0.0000, 0.0000, 0.5000) (multiplicity 3)
Pt (0.0000, 0.0000, 0.1259) (multiplicity 6)
Pt (0.0000, 0.0000, 0.3774) (multiplicity 6)

=====

This entry pairs a crystal structure of Mg2Ga2Cu5Sn with its simulated powder XRD pattern. Radiation: Cu Kα, 1.54184 Å. Structure: the PBE geometry in Alexandria.
No peak broadening, texture or thermal motion is included.

Largest 10 diffraction maxima, by angle, 15° ≤ 2θ ≤ 90°:
Position (°2θ)	d [Å]	I/Imax	hkl
19.6	4.530	22	2 0 0
21.9	4.052	33	2 1 0
36.3	2.476	27	2 2 1
39.0	2.309	100	3 1 1
41.1	2.197	21	4 1 0
42.8	2.113	43	3 2 1
44.7	2.026	17	4 2 0
46.6	1.950	26	0 0 2
81.2	1.184	12	3 1 3
83.8	1.155	11	3 2 3

Cell and atoms:
Cell lengths 9.060, 9.060, 3.901 Å; angles 90.00, 90.00, 90.00 degrees
Space group P4/mbm (No. 127)
Symmetry-distinct sites (fractional):
Mg (0.178, 0.322, 0.000) (multiplicity 4)
Ga (0.117, 0.617, 0.000) (multiplicity 4)
Cu (0.000, 0.500, 0.500) (multiplicity 2)
Cu (0.068, 0.789, 0.500) (multiplicity 8)
Sn (0.000, 0.000, 0.000) (multiplicity 2)

=====

This entry pairs a crystal structure of SrMgGa2Cu2 with its simulated powder XRD pattern. Radiation: Cu Kα, 1.54184 Å. Structure: the PBE geometry in Alexandria.
No peak broadening, texture or thermal motion is included.

Largest 10 diffraction maxima, by angle, 15° ≤ 2θ ≤ 90°:
Position (°2θ)	d [Å]	I/Imax	hkl
26.6	3.348	61	0 1 1
34.1	2.627	96	0 1 2
36.7	2.447	31	0 0 3
41.6	2.172	100	1 1 0
50.1	1.822	11	2 0 1
54.8	1.674	24	2 0 2
56.7	1.624	51	1 1 3
71.1	1.326	21	1 2 2
75.9	1.254	16	3 0 0
87.4	1.116	14	3 0 3

Cell and atoms:
Cell lengths 4.3435, 4.3435, 7.3405 Å; angles 90.00, 90.00, 120.00 degrees
Space group P-3m1 (No. 164)
Symmetry-distinct sites (fractional):
Sr (0.0000, 0.0000, 0.0000) (multiplicity 1)
Mg (0.0000, 0.0000, 0.5000) (multiplicity 1)
Ga (0.3333, 0.6667, 0.3032) (multiplicity 2)
Cu (0.3333, 0.6667, 0.6696) (multiplicity 2)

=====

This entry pairs a crystal structure of ThMgGa2Cu with its simulated powder XRD pattern. Radiation: Cu Kα, 1.54184 Å. Structure: the PBE geometry in Alexandria.
No peak broadening, texture or thermal motion is included.

Largest 10 diffraction maxima, by angle, 15° ≤ 2θ ≤ 90°:
Position (°2θ)	d [Å]	I/Imax	hkl
26.6	3.357	63	1 1 1
29.8	2.997	24	0 0 2
32.9	2.726	34	0 1 2
34.8	2.577	19	2 0 0
35.7	2.512	100	1 2 1
37.5	2.399	20	2 1 0
46.5	1.954	31	2 0 2
51.0	1.792	15	1 1 3
56.8	1.620	22	1 2 3
63.0	1.475	20	3 2 1

Cell and atoms:
Cell lengths 5.154, 6.559, 5.994 Å; angles 90.00, 90.00, 90.00 degrees
Space group Pmma (No. 51)
Symmetry-distinct sites (fractional):
Th (0.250, 0.000, 0.247) (multiplicity 2)
Mg (0.250, 0.500, 0.374) (multiplicity 2)
Ga (0.250, 0.256, 0.757) (multiplicity 4)
Cu (0.000, 0.500, 0.000) (multiplicity 2)

=====

This entry pairs a crystal structure of YMgGa2Cu4 with its simulated powder XRD pattern. Radiation: Cu Kα, 1.54184 Å. Structure: the PBE geometry in Alexandria.
No peak broadening, texture or thermal motion is included.

Largest 10 diffraction maxima, by angle, 15° ≤ 2θ ≤ 90°:
Position (°2θ)	d [Å]	I/Imax	hkl
20.8	4.274	27	0 0 6
34.7	2.587	14	1 0 7
37.3	2.410	93	0 1 8
42.9	2.109	100	1 1 0
43.1	2.099	11	1 0 10
48.1	1.892	17	1 1 6
56.2	1.637	11	0 1 14
58.1	1.587	24	2 0 8
74.9	1.268	22	1 2 8
78.5	1.218	15	3 0 0

Cell and atoms:
Cell lengths 4.2189, 4.2189, 25.6432 Å; angles 90.00, 90.00, 120.00 degrees
Space group R-3m (No. 166, hexagonal axes)
Symmetry-distinct sites (fractional):
Y (0.0000, 0.0000, 0.0000) (multiplicity 3)
Mg (0.0000, 0.0000, 0.5000) (multiplicity 3)
Ga (0.0000, 0.0000, 0.2477) (multiplicity 6)
Cu (0.0000, 0.0000, 0.1161) (multiplicity 6)
Cu (0.0000, 0.0000, 0.4007) (multiplicity 6)

=====

This entry pairs a crystal structure of Mn9Ga11Cu4 with its simulated powder XRD pattern. Radiation: Cu Kα, 1.54184 Å. Structure: the PBE geometry in Alexandria.
No peak broadening, texture or thermal motion is included.

Largest 10 diffraction maxima, by angle, 15° ≤ 2θ ≤ 90°:
Position (°2θ)	d [Å]	I/Imax	hkl
41.0	2.200	100	4 0 1
41.5	2.175	94	4 6 0
48.0	1.897	55	0 6 1
48.1	1.890	27	8 0 0
69.5	1.353	11	0 0 2
70.3	1.339	24	8 6 1
72.5	1.303	8	9 5 1
84.3	1.149	21	4 6 2
85.3	1.138	13	4 12 1
89.0	1.100	9	8 0 2

Cell and atoms:
Cell lengths 15.124, 15.959, 2.705 Å; angles 90.00, 90.00, 90.00 degrees
Space group Cmmm (No. 65)
Symmetry-distinct sites (fractional):
Mn (0.000, 0.000, 0.000) (multiplicity 2)
Mn (0.117, 0.412, 0.000) (multiplicity 8)
Mn (0.123, 0.242, 0.000) (multiplicity 8)
Ga (0.000, 0.145, 0.500) (multiplicity 4)
Ga (0.000, 0.323, 0.500) (multiplicity 4)
Ga (0.000, 0.500, 0.500) (multiplicity 2)
Ga (0.232, 0.500, 0.500) (multiplicity 4)
Ga (0.242, 0.331, 0.500) (multiplicity 8)
Cu (0.143, 0.081, 0.000) (multiplicity 8)

=====

This entry pairs a crystal structure of MnGaCu2Se4 with its simulated powder XRD pattern. Radiation: Cu Kα, 1.54184 Å. Structure: the PBE geometry in Alexandria.
No peak broadening, texture or thermal motion is included.

Largest 10 diffraction maxima, by angle, 15° ≤ 2θ ≤ 90°:
Position (°2θ)	d [Å]	I/Imax	hkl
27.4	3.260	100	1 1 2
45.3	2.003	24	2 2 0
45.5	1.993	48	2 0 4
53.7	1.707	29	3 1 2
54.1	1.694	14	1 1 6
65.9	1.417	8	4 0 0
72.8	1.299	6	3 3 2
73.2	1.294	11	3 1 6
83.8	1.155	15	4 2 4
84.3	1.149	7	2 2 8

Cell and atoms:
Cell lengths 5.666, 5.666, 11.219 Å; angles 90.00, 90.00, 90.00 degrees
Space group I-42m (No. 121)
Symmetry-distinct sites (fractional):
Mn (0.000, 0.000, 0.000) (multiplicity 2)
Ga (0.000, 0.000, 0.500) (multiplicity 2)
Cu (0.000, 0.500, 0.250) (multiplicity 4)
Se (0.248, 0.248, 0.629) (multiplicity 8)